Entry 1:
Rb3Tb2SmO6: calculated PXRD pattern (Cu Kα), based on a DFT-relaxed cell (PBE, Alexandria).
Intensities are scaled so that the largest is 100.

Crystal structure
```
12
Lattice="3.083 -5.341 0.000 3.083 5.341 0.000 -2.055 0.000 6.579" Properties=species:S:1:pos:R:3 pbc="T T T"
Rb 0.000 0.000 0.000
Rb 3.083 1.784 0.000
Rb 3.083 -1.784 0.000
Tb 2.056 3.560 3.289
Tb 2.056 -3.560 3.289
Sm 2.056 0.000 3.289
O 1.012 1.808 2.125
O -0.032 0.000 4.453
O 1.012 -1.808 2.125
O 3.099 1.808 4.454
O 4.143 0.000 2.125
O 3.099 -1.808 4.454
```

Main lines, most intense first (10 to 80 degrees two-theta):
| two_theta | I_rel |
| --- | --- |
| 34.29 | 100.0 |
| 30.37 | 83.0 |
| 27.11 | 41.3 |
| 47.18 | 35.5 |
| 51.32 | 31.9 |
| 13.46 | 30.5 |

Entry 2:
RbSm3Te4O12: calculated PXRD pattern (Cu Kα), based on a DFT-relaxed cell (PBE, Alexandria).
Intensities are scaled so that the largest is 100.

Crystal structure
```
20
Lattice="6.549 3.781 2.509 -6.549 3.781 2.509 0.000 -7.562 2.509" Properties=species:S:1:pos:R:3 pbc="T T T"
Rb 0.000 0.000 0.000
Sm -3.660 -1.222 2.509
Sm 2.889 -2.559 2.509
Sm 0.772 3.781 2.509
Te -2.886 -4.999 3.763
Te 0.000 0.000 3.763
Te -2.886 4.999 3.763
Te 5.772 0.000 3.763
O -5.312 0.000 3.763
O -3.431 -2.891 4.076
O -0.788 -4.416 3.451
O -3.431 2.891 3.451
O -2.117 0.000 3.763
O 2.656 -4.601 3.763
O 1.058 -1.833 3.763
O 1.058 1.833 3.763
O -0.788 4.416 4.076
O 4.219 -1.525 4.076
O 4.219 1.525 3.451
O 2.656 4.601 3.763
```

Main lines, most intense first (10 to 80 degrees two-theta):
| two_theta | I_rel |
| --- | --- |
| 28.46 | 100.0 |
| 27.23 | 62.1 |
| 30.80 | 57.7 |
| 23.89 | 56.2 |
| 50.23 | 33.3 |
| 46.16 | 26.5 |